Record 1
This entry pairs a crystal structure of Ac2PmAgSe5 with its theoretical powder diffraction line list. Radiation: Cu Kα (λ = 1.5418 Å). Structure: a DFT-relaxed cell (GGA-PBE, Alexandria).
No peak broadening, texture or thermal motion is included.

Main lines, most intense first (2θ = 10–90°):
| Position (°2θ) | I (rel.) |
| --- | --- |
| 29.7 | 100 |
| 35.1 | 66 |
| 30.3 | 46 |
| 25.3 | 41 |
| 22.9 | 39 |
| 41.7 | 33 |

Structure:
Cell: 9.340 9.340 12.869 Å, 90.00 90.00 153.20°
Sites, in units of the cell vectors:
Ac  0.111  0.889  0.500
Ac  0.124  0.876  0.124
Ac  0.876  0.124  0.624
Ac  0.889  0.111  0.000
Pm  0.194  0.806  0.823
Pm  0.806  0.194  0.323
Ag  0.445  0.555  0.273
Ag  0.555  0.445  0.773
Se  0.045  0.955  0.886
Se  0.289  0.711  0.481
Se  0.307  0.693  0.163
Se  0.358  0.642  0.816
Se  0.498  0.502  0.587
Se  0.502  0.498  0.087
Se  0.642  0.358  0.316
Se  0.693  0.307  0.663
Se  0.711  0.289  0.981
Se  0.955  0.045  0.386


Record 2
This entry pairs a crystal structure of AcPm2Ag2Sn2 with its theoretical powder diffraction line list. Radiation: Cu Kα (λ = 1.5418 Å). Structure: a DFT-relaxed cell (GGA-PBE, Alexandria).
No peak broadening, texture or thermal motion is included.

Main lines, most intense first (2θ = 10–90°):
| Position (°2θ) | I (rel.) |
| --- | --- |
| 30.7 | 100 |
| 36.3 | 92 |
| 48.2 | 29 |
| 61.8 | 27 |
| 33.2 | 25 |
| 65.2 | 17 |

Structure:
Cell: 9.698 9.698 9.698 Å, 29.60 29.60 29.60°
Sites, in units of the cell vectors:
Ac  0.000  0.000  0.000
Pm  0.136  0.136  0.136
Pm  0.864  0.864  0.864
Ag  0.436  0.436  0.436
Ag  0.564  0.564  0.564
Sn  0.260  0.260  0.260
Sn  0.740  0.740  0.740


Record 3
This entry pairs a crystal structure of Ac3Pr2Ag2 with its theoretical powder diffraction line list. Radiation: Cu Kα (λ = 1.5418 Å). Structure: a DFT-relaxed cell (GGA-PBE, Alexandria).
No peak broadening, texture or thermal motion is included.

Main lines, most intense first (2θ = 10–90°):
| Position (°2θ) | I (rel.) |
| --- | --- |
| 32.7 | 100 |
| 31.7 | 82 |
| 29.8 | 79 |
| 57.5 | 31 |
| 33.7 | 29 |
| 53.5 | 28 |

Structure:
Cell: 16.530 16.530 3.880 Å, 90.00 90.00 166.47°
Sites, in units of the cell vectors:
Ac  0.000  0.000  0.000
Ac  0.123  0.877  0.000
Ac  0.877  0.123  0.000
Pr  0.295  0.705  0.500
Pr  0.705  0.295  0.500
Ag  0.439  0.561  0.500
Ag  0.561  0.439  0.500